For LiTi3SbP6O24, the PBE geometry in Alexandria gives the calculated powder X-ray diffraction pattern in this record (Cu Kα X-rays).
Kinematic intensities with the Lorentz-polarization factor, no thermal factor.

The 10 most intense peaks (10 to 90 degrees two-theta), sorted by position:
Position (°2θ), I/Imax
14.41, 44
20.32, 69
20.55, 42
24.04, 100
29.06, 48
31.91, 19
32.43, 36
36.00, 19
46.57, 18
56.29, 26

Structure:
```
LiTi3SbP6O24
1.0
4.321 2.495 7.179
-4.321 2.495 7.179
0.000 -4.989 7.179
Li Ti Sb P O
1 3 1 6 24
Direct
0.000 0.000 0.000
0.135 0.135 0.135
0.352 0.352 0.352
0.628 0.628 0.628
0.847 0.847 0.847
0.024 0.448 0.742
0.238 0.958 0.529
0.448 0.742 0.024
0.529 0.238 0.958
0.742 0.024 0.448
0.958 0.529 0.238
0.003 0.611 0.787
0.050 0.261 0.911
0.070 0.931 0.724
0.128 0.497 0.272
0.184 0.993 0.368
0.205 0.431 0.570
0.261 0.911 0.050
0.272 0.128 0.497
0.368 0.184 0.993
0.409 0.776 0.547
0.431 0.570 0.205
0.489 0.708 0.851
0.497 0.272 0.128
0.547 0.409 0.776
0.570 0.205 0.431
0.611 0.787 0.003
0.708 0.851 0.489
0.724 0.070 0.931
0.776 0.547 0.409
0.787 0.003 0.611
0.851 0.489 0.708
0.911 0.050 0.261
0.931 0.724 0.070
0.993 0.368 0.184
```